This entry pairs a crystal structure of FeSn4H24C8Se10N2 with its calculated powder XRD pattern. Radiation: Cu Kα, 1.54184 Å. Structure: DFT lattice parameters and positions (GGA-PBE).
Kinematic intensities with the Lorentz-polarization factor, no thermal factor.

The 8 most intense peaks (15° ≤ 2θ ≤ 90°), low angle first:
| 2theta | I (rel.) |
| --- | --- |
| 16.2 | 45 |
| 19.7 | 23 |
| 20.2 | 33 |
| 25.1 | 100 |
| 29.1 | 26 |
| 34.9 | 19 |
| 41.6 | 25 |
| 43.0 | 34 |

Structural model:
```
FeSn4H24C8Se10N2
1.0
-5.229 5.229 8.166
5.229 -5.229 8.166
5.229 5.229 -8.166
Fe Sn H C Se N
1 4 24 8 10 2
Cartesian
0.000 0.000 0.000
-0.672 3.271 2.610
1.957 4.557 5.555
0.672 7.186 2.610
-1.957 5.901 5.555
4.697 -1.389 2.586
5.814 -2.022 3.858
6.436 -0.898 2.598
3.207 -0.586 4.308
4.331 -1.208 5.568
4.021 0.898 2.598
5.837 3.846 -1.491
5.760 1.389 2.586
6.618 -0.531 5.580
7.250 0.586 4.308
4.186 3.395 0.213
1.834 -1.043 7.952
3.742 5.040 -1.484
3.839 0.531 5.580
1.486 0.189 6.682
4.643 2.022 3.858
5.417 3.742 1.484
6.126 1.208 5.568
3.846 4.620 1.491
-0.608 1.383 6.675
3.395 6.271 -0.213
1.383 0.608 9.657
1.043 1.834 8.379
-0.189 1.486 9.650
5.574 -1.171 3.214
4.057 -0.345 4.952
4.883 1.171 3.214
6.400 0.345 4.952
1.065 -0.607 7.302
4.622 4.163 0.863
4.163 5.835 -0.863
0.607 1.065 9.029
3.991 2.756 -4.001
1.358 1.588 -1.205
8.869 1.358 1.205
1.238 2.472 4.165
0.000 5.229 1.049
2.472 -1.238 12.167
3.870 3.641 6.960
2.756 6.466 4.001
0.000 5.229 7.117
-3.641 3.870 9.371
5.229 0.000 4.083
0.000 0.000 8.166
```